(1)
Simulated powder diffraction line list
Compound: MoWSeS3
Radiation: Cu Kα (λ = 1.5418 Å)
Structure: a DFT-relaxed cell (GGA-PBE, the Materials Project)
No peak broadening, texture or thermal motion is included.

Peak list (12 most intense, 2θ from 5° to 70°, in order of rising 2θ)
2θ = 7.30°, rel. 509; 2θ = 12.17°, rel. 1000; 2θ = 14.62°, rel. 190; 2θ = 32.08°, rel. 216; 2θ = 32.46°, rel. 108; 2θ = 32.94°, rel. 133; 2θ = 34.43°, rel. 150; 2θ = 35.42°, rel. 130; 2θ = 37.84°, rel. 572; 2θ = 40.76°, rel. 136; 2θ = 45.95°, rel. 323; 2θ = 57.18°, rel. 162

Structure:
a = 3.2220 Å, b = 3.2220 Å, c = 36.3535 Å
α = 90.00°, β = 90.00°, γ = 120.00°
Atoms (fractional coordinates):
Mo  0.0000  0.0000  0.0000
Mo  0.3333  0.6667  0.8121
W  0.0000  0.0000  0.6243
W  0.3333  0.6667  0.1879
Se  0.0000  0.0000  0.1406
Se  0.0000  0.0000  0.2352
S  0.0000  0.0000  0.7695
S  0.0000  0.0000  0.8549
S  0.3333  0.6667  0.0427
S  0.3333  0.6667  0.5814
S  0.3333  0.6667  0.6672
S  0.3333  0.6667  0.9573



(2)
Simulated powder diffraction line list
Compound: TbEu2SnO6
Radiation: Cu Kα (λ = 1.5418 Å)
Structure: a DFT-relaxed cell (GGA-PBE, the Materials Project)
No peak broadening, texture or thermal motion is included.

Peak list (7 most intense, 2θ from 5° to 70°, in order of rising 2θ)
2θ = 18.17°, rel. 7; 2θ = 29.89°, rel. 1000; 2θ = 35.21°, rel. 6; 2θ = 36.83°, rel. 20; 2θ = 42.78°, rel. 287; 2θ = 53.07°, rel. 413; 2θ = 62.11°, rel. 182

Structure:
a = 5.9781 Å, b = 5.9781 Å, c = 5.9781 Å
α = 60.00°, β = 60.00°, γ = 60.00°
Atoms (fractional coordinates):
Tb  0.0000  0.0000  0.0000
Eu  0.2500  0.2500  0.2500
Eu  0.7500  0.7500  0.7500
Sn  0.5000  0.5000  0.5000
O  0.2589  0.2589  0.7411
O  0.2589  0.7411  0.2589
O  0.2589  0.7411  0.7411
O  0.7411  0.2589  0.2589
O  0.7411  0.2589  0.7411
O  0.7411  0.7411  0.2589



(3)
Simulated powder diffraction line list
Compound: Ca4Rh
Radiation: Cu Kα (λ = 1.5418 Å)
Structure: a DFT-relaxed cell (GGA-PBE, the Materials Project)
No peak broadening, texture or thermal motion is included.

Peak list (12 most intense, 2θ from 5° to 70°, in order of rising 2θ)
2θ = 13.31°, rel. 769; 2θ = 21.82°, rel. 981; 2θ = 25.65°, rel. 594; 2θ = 26.81°, rel. 1000; 2θ = 33.92°, rel. 442; 2θ = 38.28°, rel. 433; 2θ = 40.70°, rel. 325; 2θ = 44.49°, rel. 910; 2θ = 46.65°, rel. 195; 2θ = 50.08°, rel. 192; 2θ = 52.71°, rel. 378; 2θ = 60.11°, rel. 239

Structure:
a = 8.1452 Å, b = 8.1452 Å, c = 8.1452 Å
α = 60.00°, β = 60.00°, γ = 60.00°
Atoms (fractional coordinates):
Ca  0.2332  0.7556  0.7556
Ca  0.2444  0.2444  0.2444
Ca  0.2444  0.2444  0.7668
Ca  0.2444  0.7668  0.2444
Ca  0.7556  0.2332  0.7556
Ca  0.7556  0.7556  0.2332
Ca  0.7556  0.7556  0.7556
Ca  0.7668  0.2444  0.2444
Rh  0.3750  0.3750  0.3750
Rh  0.6250  0.6250  0.6250



(4)
Simulated powder diffraction line list
Compound: Eu3Ga2P4
Radiation: Cu Kα (λ = 1.5418 Å)
Structure: a DFT-relaxed cell (GGA-PBE, the Materials Project)
No peak broadening, texture or thermal motion is included.

Peak list (12 most intense, 2θ from 5° to 70°, in order of rising 2θ)
2θ = 26.07°, rel. 1000; 2θ = 26.39°, rel. 490; 2θ = 27.17°, rel. 170; 2θ = 29.51°, rel. 430; 2θ = 30.38°, rel. 158; 2θ = 35.50°, rel. 386; 2θ = 35.83°, rel. 380; 2θ = 36.60°, rel. 394; 2θ = 38.84°, rel. 262; 2θ = 38.98°, rel. 213; 2θ = 53.63°, rel. 162; 2θ = 58.24°, rel. 149

Structure:
a = 8.2100 Å, b = 8.2100 Å, c = 6.5658 Å
α = 90.59°, β = 90.59°, γ = 76.06°
Atoms (fractional coordinates):
Eu  0.1004  0.8996  0.7500
Eu  0.2511  0.5052  0.0352
Eu  0.4948  0.7489  0.4648
Eu  0.5052  0.2511  0.5352
Eu  0.7489  0.4948  0.9648
Eu  0.8996  0.1004  0.2500
Ga  0.0817  0.3252  0.5845
Ga  0.3252  0.0817  0.0845
Ga  0.6748  0.9183  0.9155
Ga  0.9183  0.6748  0.4155
P  0.0690  0.2419  0.9326
P  0.2115  0.5593  0.5251
P  0.2419  0.0690  0.4326
P  0.4407  0.7885  0.9749
P  0.5593  0.2115  0.0251
P  0.7581  0.9310  0.5674
P  0.7885  0.4407  0.4749
P  0.9310  0.7581  0.0674



(5)
Simulated powder diffraction line list
Compound: PuB2Ru3
Radiation: Cu Kα (λ = 1.5418 Å)
Structure: a DFT-relaxed cell (GGA-PBE, the Materials Project)
No peak broadening, texture or thermal motion is included.

Peak list (12 most intense, 2θ from 5° to 70°, in order of rising 2θ)
2θ = 18.40°, rel. 267; 2θ = 32.16°, rel. 111; 2θ = 35.74°, rel. 849; 2θ = 37.30°, rel. 1000; 2θ = 44.81°, rel. 518; 2θ = 50.06°, rel. 49; 2θ = 57.33°, rel. 22; 2θ = 59.67°, rel. 395; 2θ = 63.16°, rel. 77; 2θ = 66.26°, rel. 162; 2θ = 66.40°, rel. 22; 2θ = 67.27°, rel. 191

Structure:
a = 5.5671 Å, b = 5.5671 Å, c = 2.9440 Å
α = 90.00°, β = 90.00°, γ = 120.00°
Atoms (fractional coordinates):
Pu  0.0000  0.0000  0.0000
B  0.3333  0.6667  0.0000
B  0.6667  0.3333  0.0000
Ru  0.0000  0.5000  0.5000
Ru  0.5000  0.0000  0.5000
Ru  0.5000  0.5000  0.5000



(6)
Simulated powder diffraction line list
Compound: Ta2N3F
Radiation: Cu Kα (λ = 1.5418 Å)
Structure: a DFT-relaxed cell (GGA-PBE, the Materials Project)
No peak broadening, texture or thermal motion is included.

Peak list (12 most intense, 2θ from 5° to 70°, in order of rising 2θ)
2θ = 18.91°, rel. 896; 2θ = 31.94°, rel. 240; 2θ = 33.06°, rel. 1000; 2θ = 37.38°, rel. 373; 2θ = 38.36°, rel. 73; 2θ = 46.63°, rel. 723; 2θ = 50.75°, rel. 243; 2θ = 51.52°, rel. 131; 2θ = 59.05°, rel. 193; 2θ = 61.91°, rel. 173; 2θ = 68.72°, rel. 231; 2θ = 69.36°, rel. 146

Structure:
a = 5.4194 Å, b = 5.4194 Å, c = 2.8020 Å
α = 90.00°, β = 90.00°, γ = 120.00°
Atoms (fractional coordinates):
Ta  0.3333  0.6667  0.0000
Ta  0.6667  0.3333  0.0000
N  0.0000  0.5000  0.5000
N  0.5000  0.0000  0.5000
N  0.5000  0.5000  0.5000
F  0.0000  0.0000  0.5000



(7)
Simulated powder diffraction line list
Compound: Y2Cu3
Radiation: Cu Kα (λ = 1.5418 Å)
Structure: a DFT-relaxed cell (GGA-PBE, the Materials Project)
No peak broadening, texture or thermal motion is included.

Peak list (12 most intense, 2θ from 5° to 70°, in order of rising 2θ)
2θ = 19.36°, rel. 797; 2θ = 19.69°, rel. 407; 2θ = 33.15°, rel. 222; 2θ = 35.04°, rel. 789; 2θ = 35.23°, rel. 382; 2θ = 38.19°, rel. 498; 2θ = 38.72°, rel. 1000; 2θ = 39.25°, rel. 382; 2θ = 39.37°, rel. 443; 2θ = 39.47°, rel. 386; 2θ = 39.99°, rel. 369; 2θ = 45.66°, rel. 297

Structure:
a = 5.3977 Å, b = 18.2643 Å, c = 5.4128 Å
α = 90.00°, β = 118.81°, γ = 90.00°
Atoms (fractional coordinates):
Y  0.0011  0.0904  0.4986
Y  0.0011  0.4096  0.4986
Y  0.3342  0.6322  0.1653
Y  0.3342  0.8678  0.1653
Y  0.6658  0.1322  0.8347
Y  0.6658  0.3678  0.8347
Y  0.9989  0.5904  0.5014
Y  0.9989  0.9096  0.5014
Cu  0.0000  0.0000  0.0000
Cu  0.0000  0.5000  0.0000
Cu  0.1444  0.7500  0.7917
Cu  0.1465  0.7500  0.3538
Cu  0.2919  0.2500  0.6442
Cu  0.5000  0.0000  0.0000
Cu  0.5000  0.0000  0.5000
Cu  0.5000  0.5000  0.0000
Cu  0.5000  0.5000  0.5000
Cu  0.7081  0.7500  0.3558
Cu  0.8535  0.2500  0.6462
Cu  0.8556  0.2500  0.2083



(8)
Simulated powder diffraction line list
Compound: CuTeSCl
Radiation: Cu Kα (λ = 1.5418 Å)
Structure: a DFT-relaxed cell (GGA-PBE, the Materials Project)
No peak broadening, texture or thermal motion is included.

Peak list (12 most intense, 2θ from 5° to 70°, in order of rising 2θ)
2θ = 15.69°, rel. 525; 2θ = 16.47°, rel. 1000; 2θ = 19.82°, rel. 462; 2θ = 25.30°, rel. 392; 2θ = 25.46°, rel. 416; 2θ = 28.80°, rel. 894; 2θ = 29.24°, rel. 629; 2θ = 30.85°, rel. 683; 2θ = 32.22°, rel. 460; 2θ = 39.90°, rel. 464; 2θ = 44.65°, rel. 313; 2θ = 52.24°, rel. 324

Structure:
a = 7.8493 Å, b = 4.9259 Å, c = 12.0036 Å
α = 90.00°, β = 116.25°, γ = 90.00°
Atoms (fractional coordinates):
Cu  0.1858  0.1311  0.2522
Cu  0.1858  0.3689  0.7522
Cu  0.8142  0.6311  0.2478
Cu  0.8142  0.8689  0.7478
Te  0.2864  0.0075  0.6432
Te  0.2864  0.4925  0.1432
Te  0.7136  0.5075  0.8568
Te  0.7136  0.9925  0.3568
S  0.4149  0.6837  0.8311
S  0.4149  0.8163  0.3311
S  0.5851  0.1837  0.6689
S  0.5851  0.3163  0.1689
Cl  0.0747  0.1522  0.8777
Cl  0.0747  0.3478  0.3777
Cl  0.9253  0.6522  0.6223
Cl  0.9253  0.8478  0.1223



(9)
Simulated powder diffraction line list
Compound: RbSmTe2
Radiation: Cu Kα (λ = 1.5418 Å)
Structure: a DFT-relaxed cell (GGA-PBE, the Materials Project)
No peak broadening, texture or thermal motion is included.

Peak list (12 most intense, 2θ from 5° to 70°, in order of rising 2θ)
2θ = 10.35°, rel. 234; 2θ = 26.31°, rel. 1000; 2θ = 33.20°, rel. 124; 2θ = 35.94°, rel. 341; 2θ = 39.09°, rel. 376; 2θ = 45.05°, rel. 87; 2θ = 47.73°, rel. 195; 2θ = 54.14°, rel. 104; 2θ = 58.96°, rel. 103; 2θ = 63.34°, rel. 166; 2θ = 68.34°, rel. 59; 2θ = 68.78°, rel. 101

Structure:
a = 4.6085 Å, b = 4.6085 Å, c = 25.6330 Å
α = 90.00°, β = 90.00°, γ = 120.00°
Atoms (fractional coordinates):
Rb  0.0000  0.0000  0.0000
Rb  0.3333  0.6667  0.6667
Rb  0.6667  0.3333  0.3333
Sm  0.0000  0.0000  0.5000
Sm  0.3333  0.6667  0.1667
Sm  0.6667  0.3333  0.8333
Te  0.0000  0.0000  0.2342
Te  0.0000  0.0000  0.7658
Te  0.3333  0.6667  0.4325
Te  0.3333  0.6667  0.9008
Te  0.6667  0.3333  0.0992
Te  0.6667  0.3333  0.5675



(10)
Simulated powder diffraction line list
Compound: SbO2F
Radiation: Cu Kα (λ = 1.5418 Å)
Structure: a DFT-relaxed cell (GGA-PBE, the Materials Project)
No peak broadening, texture or thermal motion is included.

Peak list (12 most intense, 2θ from 5° to 70°, in order of rising 2θ)
2θ = 23.37°, rel. 1000; 2θ = 24.75°, rel. 467; 2θ = 32.31°, rel. 183; 2θ = 33.36°, rel. 338; 2θ = 35.22°, rel. 198; 2θ = 39.68°, rel. 102; 2θ = 42.70°, rel. 210; 2θ = 47.80°, rel. 144; 2θ = 52.53°, rel. 138; 2θ = 53.26°, rel. 123; 2θ = 55.35°, rel. 139; 2θ = 60.74°, rel. 111

Structure:
a = 8.7653 Å, b = 5.2364 Å, c = 5.5578 Å
α = 90.00°, β = 124.83°, γ = 90.00°
Atoms (fractional coordinates):
Sb  0.0000  0.2184  0.0000
Sb  0.0000  0.7816  0.5000
Sb  0.5000  0.2816  0.5000
Sb  0.5000  0.7184  0.0000
O  0.0694  0.0774  0.7524
O  0.0694  0.9226  0.2524
O  0.2402  0.3857  0.2615
O  0.2402  0.6143  0.7615
O  0.5694  0.4226  0.2524
O  0.5694  0.5774  0.7524
O  0.7402  0.1143  0.7615
O  0.7402  0.8857  0.2615
F  0.4318  0.0570  0.7521
F  0.4318  0.9430  0.2521
F  0.9318  0.4430  0.2521
F  0.9318  0.5570  0.7521



(11)
Simulated powder diffraction line list
Compound: Na3Ce2C4O12F
Radiation: Cu Kα (λ = 1.5418 Å)
Structure: a DFT-relaxed cell (GGA-PBE, the Materials Project)
No peak broadening, texture or thermal motion is included.

Peak list (12 most intense, 2θ from 5° to 70°, in order of rising 2θ)
2θ = 15.46°, rel. 499; 2θ = 20.40°, rel. 1000; 2θ = 23.24°, rel. 475; 2θ = 25.40°, rel. 336; 2θ = 28.00°, rel. 670; 2θ = 30.90°, rel. 457; 2θ = 35.06°, rel. 677; 2θ = 40.88°, rel. 686; 2θ = 45.45°, rel. 659; 2θ = 53.68°, rel. 270; 2θ = 54.93°, rel. 336; 2θ = 56.16°, rel. 224

Structure:
a = 5.1193 Å, b = 5.1193 Å, c = 22.9201 Å
α = 90.00°, β = 90.00°, γ = 120.00°
Atoms (fractional coordinates):
Na  0.0000  0.0000  0.2500
Na  0.0000  0.0000  0.7500
Na  0.3333  0.6667  0.0228
Na  0.3333  0.6667  0.4772
Na  0.6667  0.3333  0.5228
Na  0.6667  0.3333  0.9772
Ce  0.3333  0.6667  0.6454
Ce  0.3333  0.6667  0.8546
Ce  0.6667  0.3333  0.1454
Ce  0.6667  0.3333  0.3546
C  0.0000  0.0000  0.0633
C  0.0000  0.0000  0.4367
C  0.0000  0.0000  0.5633
C  0.0000  0.0000  0.9367
C  0.3333  0.6667  0.1768
C  0.3333  0.6667  0.3232
C  0.6667  0.3333  0.6768
C  0.6667  0.3333  0.8232
O  0.1465  0.2931  0.5624
O  0.1465  0.2931  0.9376
O  0.1465  0.8535  0.5624
O  0.1465  0.8535  0.9376
O  0.1875  0.3749  0.1755
O  0.1875  0.3749  0.3245
O  0.1875  0.8125  0.1755
O  0.1875  0.8125  0.3245
O  0.2931  0.1465  0.0624
O  0.2931  0.1465  0.4376
O  0.3749  0.1875  0.6755
O  0.3749  0.1875  0.8245
O  0.6251  0.8125  0.1755
O  0.6251  0.8125  0.3245
O  0.7069  0.8535  0.5624
O  0.7069  0.8535  0.9376
O  0.8125  0.1875  0.6755
O  0.8125  0.1875  0.8245
O  0.8125  0.6251  0.6755
O  0.8125  0.6251  0.8245
O  0.8535  0.1465  0.0624
O  0.8535  0.1465  0.4376
O  0.8535  0.7069  0.0624
O  0.8535  0.7069  0.4376
F  0.3333  0.6667  0.7500
F  0.6667  0.3333  0.2500